Starting from a structure optimized by DFT (PBE), the X-ray powder pattern of Ce3Sn was computed for λ = 1.5418 Å (Cu Kα).
Neutral-atom scattering factors, no anomalous dispersion.

Main lines, by angle (10 to 90 degrees two-theta):
h k l  2theta  intensity
1 1 1  32.4  1000
2 0 0  37.5  503
2 2 0  54.1  351
3 1 1  64.5  414
2 2 2  67.7  119
3 3 1  89.0  181

Structure:
```
data_Ce3Sn
_chemical_formula_sum 'Ce3 Sn1'
_cell_length_a 4.792
_cell_length_b 4.792
_cell_length_c 4.792
_cell_angle_alpha 90.00
_cell_angle_beta 90.00
_cell_angle_gamma 90.00
_space_group_name_H-M_alt 'P m -3 m'
_space_group_IT_number 221
_space_group_name_Hall '-P 4 2 3'
loop_
_atom_site_label
_atom_site_type_symbol
_atom_site_fract_x
_atom_site_fract_y
_atom_site_fract_z
_atom_site_occupancy
Ce1 Ce 0.000 0.000 0.500 1
Sn1 Sn 0.500 0.500 0.500 1
```

Starting from a structure optimized by DFT (PBE), the X-ray powder pattern of Ce3Sn5 was computed for λ = 1.5418 Å (Cu Kα).
Neutral-atom scattering factors, no anomalous dispersion.

Main lines, by angle (10 to 90 degrees two-theta):
h k l  2theta  intensity
2 2 2  32.8  1000
3 1 2  33.2  244
1 3 0  34.0  292
0 0 4  34.2  365
4 0 0  35.1  292
2 2 3  38.2  216

Structure:
```
data_Ce3Sn5
_chemical_formula_sum 'Ce12 Sn20'
_cell_length_a 10.225
_cell_length_b 8.183
_cell_length_c 10.495
_cell_angle_alpha 90.00
_cell_angle_beta 90.00
_cell_angle_gamma 90.00
_space_group_name_H-M_alt 'C m c m'
_space_group_IT_number 63
_space_group_name_Hall '-C 2c 2'
loop_
_atom_site_label
_atom_site_type_symbol
_atom_site_fract_x
_atom_site_fract_y
_atom_site_fract_z
_atom_site_occupancy
Ce1 Ce 0.000 0.127 0.250 1
Ce2 Ce 0.204 0.500 0.000 1
Sn1 Sn 0.000 0.186 0.546 1
Sn2 Sn 0.000 0.483 0.750 1
Sn3 Sn 0.218 0.215 0.750 1
```

Starting from a structure optimized by DFT (PBE), the X-ray powder pattern of Ce3Sn was computed for λ = 1.5418 Å (Cu Kα).
Neutral-atom scattering factors, no anomalous dispersion.

Main lines, by angle (10 to 90 degrees two-theta):
h k l  2theta  intensity
1 0 4  31.9  1000
0 0 12  32.8  308
0 1 8  37.3  657
1 1 0  53.1  238
1 0 16  54.4  222
1 1 12  63.8  274

Structure:
```
data_Ce3Sn
_chemical_formula_sum 'Ce9 Sn3'
_cell_length_a 3.4506
_cell_length_b 3.4506
_cell_length_c 32.7267
_cell_angle_alpha 90.00
_cell_angle_beta 90.00
_cell_angle_gamma 120.00
_space_group_name_H-M_alt 'R -3 m'
_space_group_IT_number 166
_space_group_name_Hall '-R 3 2"'
loop_
_atom_site_label
_atom_site_type_symbol
_atom_site_fract_x
_atom_site_fract_y
_atom_site_fract_z
_atom_site_occupancy
Ce1 Ce 0.0000 0.0000 0.0000 1
Ce2 Ce 0.0000 0.0000 0.2499 1
Sn1 Sn 0.0000 0.0000 0.5000 1
```

Starting from a structure optimized by DFT (PBE), the X-ray powder pattern of CeZnSn was computed for λ = 1.5418 Å (Cu Kα).
Neutral-atom scattering factors, no anomalous dispersion.

Main lines, by angle (10 to 90 degrees two-theta):
h k l  2theta  intensity
1 0 3  27.7  140
1 0 4  31.2  1000
1 1 0  39.2  593
2 0 4  50.9  254
1 1 8  60.3  198
2 1 4  66.1  232

Structure:
```
data_CeZnSn
_chemical_formula_sum 'Ce4 Zn4 Sn4'
_cell_length_a 4.5963
_cell_length_b 4.5963
_cell_length_c 16.5158
_cell_angle_alpha 90.00
_cell_angle_beta 90.00
_cell_angle_gamma 120.00
_space_group_name_H-M_alt 'P 63/m m c'
_space_group_IT_number 194
_space_group_name_Hall '-P 6c 2c'
loop_
_atom_site_label
_atom_site_type_symbol
_atom_site_fract_x
_atom_site_fract_y
_atom_site_fract_z
_atom_site_occupancy
Ce1 Ce 0.0000 0.0000 0.0000 1
Ce2 Ce 0.0000 0.0000 0.2500 1
Zn1 Zn 0.3333 0.6667 0.1554 1
Sn1 Sn 0.3333 0.6667 0.6165 1
```

Starting from a structure optimized by DFT (PBE), the X-ray powder pattern of Sr3Ce was computed for λ = 1.5418 Å (Cu Kα).
Neutral-atom scattering factors, no anomalous dispersion.

Main lines, by angle (10 to 90 degrees two-theta):
h k l  2theta  intensity
2 0 0  25.1  233
0 0 2  27.5  248
2 0 1  28.7  1000
2 2 0  44.2  201
2 0 3  49.3  220
2 2 2  52.9  237

Structure:
```
data_Sr3Ce
_chemical_formula_sum 'Sr6 Ce2'
_cell_length_a 8.1932
_cell_length_b 8.1932
_cell_length_c 6.4891
_cell_angle_alpha 90.00
_cell_angle_beta 90.00
_cell_angle_gamma 120.00
_space_group_name_H-M_alt 'P 63/m m c'
_space_group_IT_number 194
_space_group_name_Hall '-P 6c 2c'
loop_
_atom_site_label
_atom_site_type_symbol
_atom_site_fract_x
_atom_site_fract_y
_atom_site_fract_z
_atom_site_occupancy
Sr1 Sr 0.1706 0.3411 0.2500 1
Ce1 Ce 0.3333 0.6667 0.7500 1
```

Starting from a structure optimized by DFT (PBE), the X-ray powder pattern of TbCe3 was computed for λ = 1.5418 Å (Cu Kα).
Neutral-atom scattering factors, no anomalous dispersion.

Main lines, by angle (10 to 90 degrees two-theta):
h k l  2theta  intensity
1 1 2  32.2  1000
0 0 4  36.9  173
2 0 0  37.5  329
2 0 4  53.6  235
1 1 6  63.5  141
3 1 2  64.4  270

Structure:
```
data_TbCe3
_chemical_formula_sum 'Tb2 Ce6'
_cell_length_a 4.791
_cell_length_b 4.791
_cell_length_c 9.753
_cell_angle_alpha 90.00
_cell_angle_beta 90.00
_cell_angle_gamma 90.00
_space_group_name_H-M_alt 'I 4/m m m'
_space_group_IT_number 139
_space_group_name_Hall '-I 4 2'
loop_
_atom_site_label
_atom_site_type_symbol
_atom_site_fract_x
_atom_site_fract_y
_atom_site_fract_z
_atom_site_occupancy
Tb1 Tb 0.000 0.000 0.000 1
Ce1 Ce 0.000 0.000 0.500 1
Ce2 Ce 0.000 0.500 0.250 1
```